Diffraction record for SrHgO2. The powder diffractogram is simulated, not measured: it uses a DFT-relaxed cell (PBE, the Materials Project) and copper Kα.
Neutral-atom scattering factors, no anomalous dispersion.

Cell and atoms:
```
data_SrHgO2
_chemical_formula_sum 'Sr3 Hg3 O6'
_symmetry_space_group_name_H-M 'P 32 2 1'
_symmetry_Int_Tables_number 154
_cell_length_a 3.8998
_cell_length_b 3.8998
_cell_length_c 19.2441
_cell_angle_alpha 90.00
_cell_angle_beta 90.00
_cell_angle_gamma 120.00
loop_
_symmetry_equiv_pos_as_xyz
'x,y,z'
'-y,x-y,z+2/3'
'-x+y,-x,z+1/3'
'y,x,-z'
'x-y,-y,-z+1/3'
'-x,-x+y,-z+2/3'
loop_
_atom_site_label
_atom_site_type_symbol
_atom_site_fract_x
_atom_site_fract_y
_atom_site_fract_z
Sr1 Sr 0.0000 0.3289 0.3333
Hg1 Hg 0.0000 0.3359 0.8333
O1 O 0.0043 0.3384 0.9373
```

Most intense lines, 15° ≤ 2θ ≤ 90°, low angle first:
- 3.327 Å, 26.8°, rel. 24
- 3.207 Å, 27.8°, rel. 26
- 3.187 Å, 28.0°, rel. 100
- 2.764 Å, 32.4°, rel. 52
- 1.959 Å, 46.3°, rel. 27
- 1.950 Å, 46.6°, rel. 29
- 1.672 Å, 54.9°, rel. 17
- 1.666 Å, 55.1°, rel. 25
- 1.663 Å, 55.2°, rel. 15
- 1.593 Å, 57.9°, rel. 11
- 1.265 Å, 75.1°, rel. 12
- 1.239 Å, 77.0°, rel. 11